Calculated PXRD pattern
Compound: TiS
Radiation: Cu Kα
Structure: a crystal structure in Alexandria, relaxed with PBE

Top 8 peaks for 2θ = 10–90°, sorted by position:
2θ = 28.69°, d = 3.111 Å, I = 21
2θ = 31.51°, d = 2.839 Å, I = 22
2θ = 36.53°, d = 2.459 Å, I = 56
2θ = 42.61°, d = 2.122 Å, I = 100
2θ = 49.00°, d = 1.859 Å, I = 40
2θ = 56.93°, d = 1.618 Å, I = 26
2θ = 64.22°, d = 1.450 Å, I = 16
2θ = 78.36°, d = 1.220 Å, I = 18

Crystal structure
Cell lengths 6.122, 6.122, 6.122 Å; angles 149.36, 149.36, 43.88 degrees
Atoms (fractional coordinates):
Ti  0.000  0.000  0.000
Ti  0.750  0.250  0.500
S  0.166  0.666  0.500
S  0.416  0.416  0.000



Calculated PXRD pattern
Compound: Sm12Er6In
Radiation: Cu Kα
Structure: a crystal structure in Alexandria, relaxed with PBE

Top 8 peaks for 2θ = 10–90°, sorted by position:
2θ = 30.79°, d = 2.904 Å, I = 40
2θ = 31.42°, d = 2.847 Å, I = 26
2θ = 31.73°, d = 2.820 Å, I = 100
2θ = 32.95°, d = 2.719 Å, I = 68
2θ = 33.39°, d = 2.683 Å, I = 31
2θ = 34.91°, d = 2.570 Å, I = 18
2θ = 55.42°, d = 1.658 Å, I = 19
2θ = 66.30°, d = 1.410 Å, I = 12

Crystal structure
Cell lengths 8.545, 8.545, 8.545 Å; angles 88.73, 88.73, 88.73 degrees
Atoms (fractional coordinates):
Sm  0.038  0.284  0.932
Sm  0.068  0.962  0.716
Sm  0.137  0.319  0.485
Sm  0.284  0.932  0.038
Sm  0.319  0.485  0.137
Sm  0.485  0.137  0.319
Sm  0.515  0.863  0.681
Sm  0.681  0.515  0.863
Sm  0.716  0.068  0.962
Sm  0.863  0.681  0.515
Sm  0.932  0.038  0.284
Sm  0.962  0.716  0.068
Er  0.213  0.599  0.756
Er  0.244  0.787  0.401
Er  0.401  0.244  0.787
Er  0.599  0.756  0.213
Er  0.756  0.213  0.599
Er  0.787  0.401  0.244
In  0.500  0.500  0.500



Calculated PXRD pattern
Compound: Ac2Pm3Sn3
Radiation: Cu Kα
Structure: a crystal structure in Alexandria, relaxed with PBE

Top 8 peaks for 2θ = 10–90°, sorted by position:
2θ = 30.81°, d = 2.902 Å, I = 100
2θ = 32.36°, d = 2.767 Å, I = 14
2θ = 34.44°, d = 2.604 Å, I = 21
2θ = 40.01°, d = 2.253 Å, I = 14
2θ = 47.98°, d = 1.896 Å, I = 10
2θ = 53.80°, d = 1.704 Å, I = 12
2θ = 59.46°, d = 1.555 Å, I = 16
2θ = 67.01°, d = 1.397 Å, I = 11

Crystal structure
Cell lengths 11.591, 11.591, 11.591 Å; angles 157.58, 154.04, 34.56 degrees
Atoms (fractional coordinates):
Ac  0.230  0.230  0.000
Ac  0.770  0.770  0.000
Pm  0.000  0.000  0.000
Pm  0.390  0.890  0.500
Pm  0.610  0.110  0.500
Sn  0.115  0.615  0.500
Sn  0.500  0.500  0.000
Sn  0.885  0.385  0.500



Calculated PXRD pattern
Compound: YHoGa4
Radiation: Cu Kα
Structure: a crystal structure in Alexandria, relaxed with PBE

Top 8 peaks for 2θ = 10–90°, sorted by position:
2θ = 32.91°, d = 2.721 Å, I = 64
2θ = 33.68°, d = 2.661 Å, I = 36
2θ = 35.01°, d = 2.563 Å, I = 100
2θ = 35.17°, d = 2.552 Å, I = 19
2θ = 39.10°, d = 2.304 Å, I = 46
2θ = 40.28°, d = 2.239 Å, I = 25
2θ = 42.54°, d = 2.125 Å, I = 33
2θ = 64.31°, d = 1.448 Å, I = 25

Crystal structure
Cell lengths 5.797, 5.797, 5.797 Å; angles 136.99, 105.97, 89.63 degrees
Atoms (fractional coordinates):
Y  0.000  0.000  0.000
Ho  0.379  0.879  0.500
Ga  0.404  0.601  0.803
Ga  0.579  0.278  0.301
Ga  0.798  0.601  0.197
Ga  0.978  0.278  0.699



Calculated PXRD pattern
Compound: CaCeF5
Radiation: Cu Kα
Structure: a crystal structure in Alexandria, relaxed with PBE

Top 8 peaks for 2θ = 10–90°, sorted by position:
2θ = 17.68°, d = 5.016 Å, I = 100
2θ = 24.90°, d = 3.575 Å, I = 69
2θ = 25.31°, d = 3.519 Å, I = 63
2θ = 27.98°, d = 3.189 Å, I = 93
2θ = 28.90°, d = 3.090 Å, I = 76
2θ = 33.84°, d = 2.649 Å, I = 55
2θ = 35.80°, d = 2.508 Å, I = 56
2θ = 45.19°, d = 2.007 Å, I = 46

Crystal structure
Cell lengths 5.020, 5.020, 8.054 Å; angles 91.89, 91.89, 89.04 degrees
Atoms (fractional coordinates):
Ca  0.012  0.988  0.750
Ca  0.988  0.012  0.250
Ce  0.500  0.500  0.000
Ce  0.500  0.500  0.500
F  0.103  0.244  0.507
F  0.137  0.553  0.825
F  0.244  0.103  0.007
F  0.327  0.673  0.250
F  0.447  0.863  0.675
F  0.553  0.137  0.325
F  0.673  0.327  0.750
F  0.756  0.897  0.993
F  0.863  0.447  0.175
F  0.897  0.756  0.493



Calculated PXRD pattern
Compound: Tm8Ge5Pt
Radiation: Cu Kα
Structure: a crystal structure in Alexandria, relaxed with PBE

Top 8 peaks for 2θ = 10–90°, sorted by position:
2θ = 28.98°, d = 3.081 Å, I = 18
2θ = 32.31°, d = 2.770 Å, I = 55
2θ = 32.68°, d = 2.740 Å, I = 100
2θ = 38.58°, d = 2.334 Å, I = 26
2θ = 38.77°, d = 2.323 Å, I = 37
2θ = 38.88°, d = 2.317 Å, I = 30
2θ = 51.60°, d = 1.771 Å, I = 18
2θ = 53.97°, d = 1.699 Å, I = 20

Crystal structure
Cell lengths 7.532, 7.532, 7.532 Å; angles 109.82, 109.82, 108.77 degrees
Atoms (fractional coordinates):
Tm  0.121  0.373  0.115
Tm  0.132  0.379  0.623
Tm  0.258  0.006  0.885
Tm  0.491  0.868  0.247
Tm  0.621  0.244  0.753
Tm  0.627  0.742  0.748
Tm  0.756  0.509  0.377
Tm  0.994  0.879  0.252
Ge  0.250  0.750  0.500
Ge  0.377  0.251  0.376
Ge  0.749  0.125  0.126
Ge  0.875  0.001  0.624
Ge  0.999  0.623  0.874
Pt  0.500  0.500  0.000